Starting from a cell relaxed with PBE, the X-ray powder pattern of La3Tb4Se8 was simulated for Cu Ka.
Kinematic intensities with the Lorentz-polarization factor, no thermal factor.

Structural model:
```
data_La3Tb4Se8
_cell_length_a 8.381
_cell_length_b 8.381
_cell_length_c 8.330
_cell_angle_alpha 119.75
_cell_angle_beta 119.75
_cell_angle_gamma 90.05
_space_group_name_H-M_alt 'P 1'
_space_group_IT_number 1
_space_group_name_Hall 'P 1'
loop_
_atom_site_label
_atom_site_type_symbol
_atom_site_fract_x
_atom_site_fract_y
_atom_site_fract_z
_atom_site_occupancy
La1 La 0.000 0.000 0.000 1
La2 La 0.000 0.500 0.000 1
La3 La 0.500 0.000 0.000 1
Tb1 Tb 0.000 0.500 0.500 1
Tb2 Tb 0.500 0.000 0.500 1
Tb3 Tb 0.500 0.500 0.000 1
Tb4 Tb 0.500 0.500 0.500 1
Se1 Se 0.253 0.747 0.500 1
Se2 Se 0.255 0.745 0.000 1
Se3 Se 0.257 0.257 0.510 1
Se4 Se 0.259 0.259 0.007 1
Se5 Se 0.741 0.741 0.993 1
Se6 Se 0.743 0.743 0.490 1
Se7 Se 0.745 0.255 0.000 1
Se8 Se 0.747 0.253 0.500 1
```

Most intense lines, 10 to 80 degrees two-theta, low angle first:
- 30.2°, I = 100
- 42.9°, I = 13
- 43.2°, I = 50
- 43.5°, I = 12
- 53.3°, I = 13
- 53.8°, I = 13
- 71.1°, I = 22
- 78.8°, I = 8

---

Starting from a cell relaxed with PBE, the X-ray powder pattern of LaTb2Se was simulated for Cu Ka.
Kinematic intensities with the Lorentz-polarization factor, no thermal factor.

Structural model:
```
data_LaTb2Se
_cell_length_a 3.831
_cell_length_b 3.831
_cell_length_c 29.120
_cell_angle_alpha 90.00
_cell_angle_beta 90.00
_cell_angle_gamma 120.00
_space_group_name_H-M_alt 'P 1'
_space_group_IT_number 1
_space_group_name_Hall 'P 1'
loop_
_atom_site_label
_atom_site_type_symbol
_atom_site_fract_x
_atom_site_fract_y
_atom_site_fract_z
_atom_site_occupancy
La1 La 0.000 0.000 0.000 1
La2 La 0.333 0.667 0.667 1
La3 La 0.667 0.333 0.333 1
Tb1 Tb 0.000 0.000 0.230 1
Tb2 Tb 0.000 0.000 0.437 1
Tb3 Tb 0.333 0.667 0.103 1
Tb4 Tb 0.333 0.667 0.896 1
Tb5 Tb 0.667 0.333 0.563 1
Tb6 Tb 0.667 0.333 0.770 1
Se1 Se 0.000 0.000 0.833 1
Se2 Se 0.333 0.667 0.500 1
Se3 Se 0.667 0.333 0.166 1
```

Most intense lines, 10 to 80 degrees two-theta, low angle first:
- 27.6°, I = 37
- 29.6°, I = 40
- 31.0°, I = 100
- 34.6°, I = 17
- 41.2°, I = 24
- 47.5°, I = 38
- 55.8°, I = 22
- 57.8°, I = 20

---

Starting from a cell relaxed with PBE, the X-ray powder pattern of LaTbTe2Se was simulated for Cu Ka.
Kinematic intensities with the Lorentz-polarization factor, no thermal factor.

Structural model:
```
data_LaTbTe2Se
_cell_length_a 4.428
_cell_length_b 4.428
_cell_length_c 15.750
_cell_angle_alpha 90.00
_cell_angle_beta 90.00
_cell_angle_gamma 90.00
_space_group_name_H-M_alt 'P 1'
_space_group_IT_number 1
_space_group_name_Hall 'P 1'
loop_
_atom_site_label
_atom_site_type_symbol
_atom_site_fract_x
_atom_site_fract_y
_atom_site_fract_z
_atom_site_occupancy
La1 La 0.250 0.250 0.132 1
La2 La 0.750 0.750 0.868 1
Tb1 Tb 0.250 0.250 0.593 1
Tb2 Tb 0.750 0.750 0.407 1
Te1 Te 0.250 0.250 0.394 1
Te2 Te 0.250 0.250 0.788 1
Te3 Te 0.750 0.750 0.212 1
Te4 Te 0.750 0.750 0.606 1
Se1 Se 0.250 0.750 0.000 1
Se2 Se 0.750 0.250 0.000 1
```

Most intense lines, 10 to 80 degrees two-theta, low angle first:
- 28.3°, I = 37
- 28.5°, I = 100
- 29.1°, I = 31
- 35.0°, I = 26
- 36.7°, I = 63
- 40.8°, I = 69
- 50.4°, I = 30
- 66.8°, I = 30

---

Starting from a cell relaxed with PBE, the X-ray powder pattern of La3TbTh4Se8 was simulated for Cu Ka.
Kinematic intensities with the Lorentz-polarization factor, no thermal factor.

Structural model:
```
data_La3TbTh4Se8
_cell_length_a 8.552
_cell_length_b 8.552
_cell_length_c 8.552
_cell_angle_alpha 58.56
_cell_angle_beta 58.56
_cell_angle_gamma 58.56
_space_group_name_H-M_alt 'P 1'
_space_group_IT_number 1
_space_group_name_Hall 'P 1'
loop_
_atom_site_label
_atom_site_type_symbol
_atom_site_fract_x
_atom_site_fract_y
_atom_site_fract_z
_atom_site_occupancy
La1 La 0.000 0.500 0.500 1
La2 La 0.500 0.000 0.500 1
La3 La 0.500 0.500 0.000 1
Tb1 Tb 0.000 0.000 0.000 1
Th1 Th 0.000 0.000 0.500 1
Th2 Th 0.000 0.500 0.000 1
Th3 Th 0.500 0.000 0.000 1
Th4 Th 0.500 0.500 0.500 1
Se1 Se 0.243 0.755 0.755 1
Se2 Se 0.245 0.245 0.757 1
Se3 Se 0.245 0.757 0.245 1
Se4 Se 0.249 0.249 0.249 1
Se5 Se 0.751 0.751 0.751 1
Se6 Se 0.755 0.243 0.755 1
Se7 Se 0.755 0.755 0.243 1
Se8 Se 0.757 0.245 0.245 1
```

Most intense lines, 10 to 80 degrees two-theta, low angle first:
- 26.0°, I = 21
- 29.9°, I = 100
- 42.3°, I = 39
- 43.3°, I = 37
- 53.5°, I = 20
- 69.7°, I = 18
- 71.1°, I = 17
- 78.7°, I = 13

---

Starting from a cell relaxed with PBE, the X-ray powder pattern of LaTlTeSe was simulated for Cu Ka.
Kinematic intensities with the Lorentz-polarization factor, no thermal factor.

Structural model:
```
data_LaTlTeSe
_cell_length_a 4.525
_cell_length_b 4.525
_cell_length_c 24.324
_cell_angle_alpha 90.00
_cell_angle_beta 90.00
_cell_angle_gamma 120.00
_space_group_name_H-M_alt 'P 1'
_space_group_IT_number 1
_space_group_name_Hall 'P 1'
loop_
_atom_site_label
_atom_site_type_symbol
_atom_site_fract_x
_atom_site_fract_y
_atom_site_fract_z
_atom_site_occupancy
La1 La 0.000 0.000 0.000 1
La2 La 0.333 0.667 0.667 1
La3 La 0.667 0.333 0.333 1
Tl1 Tl 0.000 0.000 0.174 1
Tl2 Tl 0.333 0.667 0.841 1
Tl3 Tl 0.667 0.333 0.508 1
Te1 Te 0.000 0.000 0.414 1
Te2 Te 0.333 0.667 0.081 1
Te3 Te 0.667 0.333 0.747 1
Se1 Se 0.000 0.000 0.606 1
Se2 Se 0.333 0.667 0.272 1
Se3 Se 0.667 0.333 0.939 1
```

Most intense lines, 10 to 80 degrees two-theta, low angle first:
- 23.0°, I = 32
- 27.1°, I = 38
- 29.3°, I = 100
- 34.5°, I = 34
- 39.8°, I = 57
- 50.2°, I = 22
- 61.4°, I = 22
- 65.9°, I = 26

---

Starting from a cell relaxed with PBE, the X-ray powder pattern of La5ThSe7 was simulated for Cu Ka.
Kinematic intensities with the Lorentz-polarization factor, no thermal factor.

Structural model:
```
data_La5ThSe7
_cell_length_a 7.463
_cell_length_b 7.463
_cell_length_c 25.000
_cell_angle_alpha 92.23
_cell_angle_beta 92.23
_cell_angle_gamma 32.72
_space_group_name_H-M_alt 'P 1'
_space_group_IT_number 1
_space_group_name_Hall 'P 1'
loop_
_atom_site_label
_atom_site_type_symbol
_atom_site_fract_x
_atom_site_fract_y
_atom_site_fract_z
_atom_site_occupancy
La1 La 0.000 0.000 0.000 1
La2 La 0.002 0.002 0.500 1
La3 La 0.272 0.272 0.929 1
La4 La 0.284 0.284 0.572 1
La5 La 0.446 0.446 0.351 1
La6 La 0.458 0.458 0.148 1
La7 La 0.543 0.543 0.852 1
La8 La 0.557 0.557 0.650 1
La9 La 0.719 0.719 0.428 1
La10 La 0.728 0.728 0.071 1
Th1 Th 0.211 0.211 0.236 1
Th2 Th 0.791 0.791 0.764 1
Se1 Se 0.084 0.084 0.387 1
Se2 Se 0.102 0.102 0.119 1
Se3 Se 0.178 0.178 0.818 1
Se4 Se 0.202 0.202 0.685 1
Se5 Se 0.363 0.363 0.460 1
Se6 Se 0.366 0.366 0.038 1
Se7 Se 0.434 0.434 0.748 1
Se8 Se 0.568 0.568 0.252 1
Se9 Se 0.634 0.634 0.962 1
Se10 Se 0.640 0.640 0.540 1
Se11 Se 0.800 0.800 0.315 1
Se12 Se 0.822 0.822 0.182 1
Se13 Se 0.899 0.899 0.881 1
Se14 Se 0.920 0.920 0.613 1
```

Most intense lines, 10 to 80 degrees two-theta, low angle first:
- 28.4°, I = 50
- 29.0°, I = 61
- 29.4°, I = 86
- 30.0°, I = 100
- 30.6°, I = 57
- 41.3°, I = 68
- 42.3°, I = 42
- 43.0°, I = 76

---

Starting from a cell relaxed with PBE, the X-ray powder pattern of LaTh4Se6 was simulated for Cu Ka.
Kinematic intensities with the Lorentz-polarization factor, no thermal factor.

Structural model:
```
data_LaTh4Se6
_cell_length_a 7.315
_cell_length_b 7.315
_cell_length_c 21.066
_cell_angle_alpha 90.00
_cell_angle_beta 90.00
_cell_angle_gamma 147.45
_space_group_name_H-M_alt 'P 1'
_space_group_IT_number 1
_space_group_name_Hall 'P 1'
loop_
_atom_site_label
_atom_site_type_symbol
_atom_site_fract_x
_atom_site_fract_y
_atom_site_fract_z
_atom_site_occupancy
La1 La 0.162 0.838 0.750 1
La2 La 0.838 0.162 0.250 1
Th1 Th 0.091 0.909 0.123 1
Th2 Th 0.091 0.909 0.377 1
Th3 Th 0.357 0.643 0.036 1
Th4 Th 0.357 0.643 0.464 1
Th5 Th 0.643 0.357 0.536 1
Th6 Th 0.643 0.357 0.964 1
Th7 Th 0.909 0.091 0.623 1
Th8 Th 0.909 0.091 0.877 1
Se1 Se 0.000 0.000 0.000 1
Se2 Se 0.000 0.000 0.500 1
Se3 Se 0.180 0.820 0.250 1
Se4 Se 0.262 0.738 0.599 1
Se5 Se 0.262 0.738 0.901 1
Se6 Se 0.448 0.552 0.166 1
Se7 Se 0.448 0.552 0.334 1
Se8 Se 0.552 0.448 0.666 1
Se9 Se 0.552 0.448 0.834 1
Se10 Se 0.738 0.262 0.099 1
Se11 Se 0.738 0.262 0.401 1
Se12 Se 0.820 0.180 0.750 1
```

Most intense lines, 10 to 80 degrees two-theta, low angle first:
- 24.6°, I = 67
- 29.3°, I = 59
- 30.2°, I = 100
- 31.7°, I = 70
- 32.4°, I = 51
- 42.3°, I = 42
- 42.6°, I = 41
- 44.2°, I = 53

---

Starting from a cell relaxed with PBE, the X-ray powder pattern of La4ThSe6 was simulated for Cu Ka.
Kinematic intensities with the Lorentz-polarization factor, no thermal factor.

Structural model:
```
data_La4ThSe6
_cell_length_a 8.528
_cell_length_b 8.528
_cell_length_c 8.528
_cell_angle_alpha 90.60
_cell_angle_beta 90.60
_cell_angle_gamma 90.60
_space_group_name_H-M_alt 'P 1'
_space_group_IT_number 1
_space_group_name_Hall 'P 1'
loop_
_atom_site_label
_atom_site_type_symbol
_atom_site_fract_x
_atom_site_fract_y
_atom_site_fract_z
_atom_site_occupancy
La1 La 0.134 0.750 0.366 1
La2 La 0.250 0.250 0.250 1
La3 La 0.250 0.634 0.866 1
La4 La 0.366 0.134 0.750 1
La5 La 0.634 0.866 0.250 1
La6 La 0.750 0.366 0.134 1
La7 La 0.750 0.750 0.750 1
La8 La 0.866 0.250 0.634 1
Th1 Th 0.000 0.000 0.000 1
Th2 Th 0.500 0.500 0.500 1
Se1 Se 0.061 0.913 0.678 1
Se2 Se 0.087 0.322 0.939 1
Se3 Se 0.178 0.413 0.561 1
Se4 Se 0.322 0.939 0.087 1
Se5 Se 0.413 0.561 0.178 1
Se6 Se 0.439 0.822 0.587 1
Se7 Se 0.561 0.178 0.413 1
Se8 Se 0.587 0.439 0.822 1
Se9 Se 0.678 0.061 0.913 1
Se10 Se 0.822 0.587 0.439 1
Se11 Se 0.913 0.678 0.061 1
Se12 Se 0.939 0.087 0.322 1
```

Most intense lines, 10 to 80 degrees two-theta, low angle first:
- 25.5°, I = 83
- 29.8°, I = 72
- 31.3°, I = 72
- 33.3°, I = 100
- 34.9°, I = 75
- 39.3°, I = 42
- 45.1°, I = 52
- 67.5°, I = 36